(1)
Theoretical powder diffractogram
Compound: La2Pr2CoAg2
Radiation: λ = 1.5418 Å (Cu Kα)
Structure: DFT lattice parameters and positions (GGA-PBE)

Atomic structure:
Unit cell a=14.598 b=4.621 c=6.829 alpha=90.00 beta=117.54 gamma=90.00
Space group C2/m (No. 12)
Symmetry-distinct sites (fractional):
La (0.200, 0.000, 0.201)
Pr (0.002, 0.500, 0.748)
Co (0.000, 0.000, 0.000)
Ag (0.123, 0.000, 0.619)

Top 6 peaks for 2θ from 10° to 90°, in order of rising 2θ:
| 2θ/deg | d_spacing | I (rel.) | index |
| --- | --- | --- | --- |
| 28.30 | 3.154 | 777 | 3 1 0 |
| 29.50 | 3.027 | 180 | 0 0 2 |
| 29.66 | 3.012 | 195 | 4 0 -2 |
| 33.35 | 2.686 | 1000 | 1 1 -2 |
| 38.98 | 2.311 | 333 | 0 2 0 |
| 49.68 | 1.835 | 179 | 4 2 -2 |

(2)
Theoretical powder diffractogram
Compound: SnBiPd4
Radiation: λ = 1.5418 Å (Cu Kα)
Structure: DFT lattice parameters and positions (GGA-PBE)

Atomic structure:
Unit cell a=17.744 b=5.447 c=4.777 alpha=90.00 beta=105.48 gamma=90.00
Space group C2/c (No. 15)
Symmetry-distinct sites (fractional):
Sn (0.250, 0.250, 0.000)
Bi (0.000, 0.220, 0.250)
Pd (0.091, 0.340, 0.841)
Pd (0.168, 0.168, 0.418)

Top 6 peaks for 2θ from 10° to 90°, in order of rising 2θ:
| 2θ/deg | d_spacing | I (rel.) | index |
| --- | --- | --- | --- |
| 26.93 | 3.311 | 137 | 1 1 1 |
| 32.89 | 2.724 | 249 | 0 2 0 |
| 37.66 | 2.388 | 372 | 2 0 -2 |
| 38.41 | 2.344 | 266 | 0 2 1 |
| 40.40 | 2.232 | 1000 | 5 1 1 |
| 50.85 | 1.796 | 154 | 2 2 -2 |

(3)
Theoretical powder diffractogram
Compound: Na4UTi3Se8
Radiation: λ = 1.5418 Å (Cu Kα)
Structure: DFT lattice parameters and positions (GGA-PBE)

Atomic structure:
Unit cell a=7.7239 b=7.7239 c=21.1709 alpha=90.00 beta=90.00 gamma=120.00
Space group R-3m (No. 166, hexagonal axes)
Symmetry-distinct sites (fractional):
Na (0.0000, 0.0000, 0.0000)
Na (0.0000, 0.5000, 0.0000)
U (0.0000, 0.0000, 0.5000)
Ti (0.0000, 0.5000, 0.5000)
Se (0.0000, 0.0000, 0.2363)
Se (0.0156, 0.5078, 0.7598)

Top 6 peaks for 2θ from 10° to 90°, in order of rising 2θ:
| 2θ/deg | d_spacing | I (rel.) | index |
| --- | --- | --- | --- |
| 12.54 | 7.057 | 416 | 0 0 3 |
| 31.65 | 2.827 | 1000 | 0 2 4 |
| 43.61 | 2.075 | 355 | 2 0 8 |
| 47.06 | 1.931 | 332 | 2 2 0 |
| 57.82 | 1.595 | 168 | 4 0 4 |
| 77.65 | 1.230 | 172 | 2 4 4 |

(4)
Theoretical powder diffractogram
Compound: K2InBr5
Radiation: λ = 1.5418 Å (Cu Kα)
Structure: DFT lattice parameters and positions (GGA-PBE)

Atomic structure:
Unit cell a=12.945 b=13.674 c=9.549 alpha=90.00 beta=90.00 gamma=90.00
Space group Pnnm (No. 58)
Symmetry-distinct sites (fractional):
K (0.000, 0.000, 0.226)
K (0.133, 0.339, 0.000)
In (0.244, 0.733, 0.000)
Br (0.074, 0.160, 0.500)
Br (0.115, 0.590, 0.000)
Br (0.121, 0.118, 0.000)
Br (0.213, 0.838, 0.216)

Top 6 peaks for 2θ from 10° to 90°, in order of rising 2θ:
| 2θ/deg | d_spacing | I (rel.) | index |
| --- | --- | --- | --- |
| 13.22 | 6.699 | 1000 | 1 1 1 |
| 18.88 | 4.700 | 493 | 2 2 0 |
| 22.64 | 3.928 | 376 | 3 0 1 |
| 23.75 | 3.747 | 945 | 1 2 2 |
| 24.39 | 3.649 | 429 | 3 2 0 |
| 35.14 | 2.554 | 330 | 2 4 2 |

(5)
Theoretical powder diffractogram
Compound: Na2Np2O5F2
Radiation: λ = 1.5418 Å (Cu Kα)
Structure: DFT lattice parameters and positions (GGA-PBE)

Atomic structure:
Unit cell a=4.220 b=4.220 c=20.680 alpha=90.00 beta=90.00 gamma=90.00
Space group I4/mmm (No. 139)
Symmetry-distinct sites (fractional):
Na (0.000, 0.000, 0.184)
Np (0.000, 0.000, 0.400)
O (0.000, 0.000, 0.500)
O (0.000, 0.500, 0.113)
F (0.000, 0.000, 0.291)

Top 6 peaks for 2θ from 10° to 90°, in order of rising 2θ:
| 2θ/deg | d_spacing | I (rel.) | index |
| --- | --- | --- | --- |
| 17.15 | 5.170 | 489 | 0 0 4 |
| 21.49 | 4.134 | 1000 | 1 0 1 |
| 29.95 | 2.984 | 383 | 1 1 0 |
| 30.26 | 2.954 | 599 | 1 0 5 |
| 48.44 | 1.879 | 239 | 2 1 1 |
| 53.36 | 1.717 | 329 | 2 1 5 |

(6)
Theoretical powder diffractogram
Compound: La6TbTm2Th
Radiation: λ = 1.5418 Å (Cu Kα)
Structure: DFT lattice parameters and positions (GGA-PBE)

Atomic structure:
Unit cell a=9.479 b=15.144 c=9.860 alpha=90.00 beta=98.76 gamma=90.00
Space group C2/c (No. 15)
Symmetry-distinct sites (fractional):
La (0.069, 0.171, 0.441)
La (0.095, 0.396, 0.620)
La (0.209, 0.216, 0.810)
Tb (0.000, 0.407, 0.250)
Tm (0.240, 0.043, 0.053)
Th (0.000, 0.033, 0.750)

Top 6 peaks for 2θ from 10° to 90°, in order of rising 2θ:
| 2θ/deg | d_spacing | I (rel.) | index |
| --- | --- | --- | --- |
| 28.14 | 3.171 | 417 | 1 3 2 |
| 29.27 | 3.051 | 397 | 3 1 -1 |
| 29.93 | 2.985 | 483 | 0 2 3 |
| 30.82 | 2.902 | 1000 | 2 2 2 |
| 31.03 | 2.882 | 310 | 1 5 0 |
| 31.97 | 2.800 | 293 | 1 5 -1 |

> Which formula does entry 2 have?

SnBiPd4

> Number 2 is which compound?

SnBiPd4